1.
# Y2Ho2CBr4Cl
Calculated powder diffractogram, λ = 1.5418 Å (Cu Kα). Input: DFT lattice parameters and positions (PBE).
Lines closer than 0.1° are merged.

Cell and atoms:
```
Y2Ho2CBr4Cl
1.0
8.8824 -1.8878 0.0000
8.8824 1.8878 0.0000
-1.7252 0.0000 7.6998
Y Ho C Br Cl
2 2 1 4 1
Direct
0.0009 0.0009 0.2915 Y
0.9991 0.9991 0.7085 Y
0.3629 0.3629 0.4285 Ho
0.6371 0.6371 0.5715 Ho
0.5000 0.5000 0.5000 C
0.1640 0.1640 0.8456 Br
0.1705 0.1705 0.3235 Br
0.8295 0.8295 0.6765 Br
0.8360 0.8360 0.1544 Br
0.5000 0.5000 0.0000 Cl
```

The 10 most intense peaks (5 to 70 degrees two-theta), in order of falling intensity:
d/Å  Position (°2θ)  I (rel.)
2.728  32.8  100
7.700  11.5  70
2.889  31.0  39
2.552  35.2  32
1.986  45.7  25
2.808  31.9  24
1.981  45.8  23
1.888  48.2  18
1.973  46.0  17
3.389  26.3  15

***

2.
# Nd4CI2Br2Cl
Calculated powder diffractogram, λ = 1.5418 Å (Cu Kα). Input: DFT lattice parameters and positions (PBE).
Lines closer than 0.1° are merged.

Cell and atoms:
```
Nd4CI2Br2Cl
1.0
9.3787 -1.9937 0.0000
9.3787 1.9937 0.0000
-1.6849 0.0000 8.1544
Nd C I Br Cl
4 1 2 2 1
Direct
0.0037 0.0037 0.2903 Nd
0.3625 0.3625 0.4293 Nd
0.6375 0.6375 0.5707 Nd
0.9963 0.9963 0.7097 Nd
0.5000 0.5000 0.5000 C
0.1653 0.1653 0.8665 I
0.8347 0.8347 0.1335 I
0.1704 0.1704 0.3272 Br
0.8296 0.8296 0.6728 Br
0.5000 0.5000 0.0000 Cl
```

The 10 most intense peaks (5 to 70 degrees two-theta), in order of falling intensity:
d/Å  Position (°2θ)  I (rel.)
2.879  31.1  100
3.062  29.2  47
2.083  43.5  41
2.112  42.8  28
8.154  10.8  28
2.702  33.2  28
2.979  30.0  26
1.994  45.5  19
3.219  27.7  16
2.782  32.2  16